[1]
Structure and theoretical PXRD pattern of Er3Tl2Cu5S8 (a GGA-PBE-relaxed structure; Cu Kα (weighted mean of Kα1 and Kα2)).
Peak positions follow from Bragg's law for the DFT cell and can differ from measured ones.

Atomic structure:
```
Er3Tl2Cu5S8
1.0
6.9133 -1.9541 0.0000
6.9133 1.9541 0.0000
-5.2284 0.0000 13.4405
Er Tl Cu S
3 2 5 8
Cartesian
0.0000 0.0000 0.0000 Er
-0.1254 0.0000 5.1819 Er
0.1027 0.0000 10.2822 Er
3.7157 0.0000 2.3169 Tl
10.2385 0.0000 7.8828 Tl
2.9078 0.0000 5.1306 Cu
3.1913 0.0000 11.2261 Cu
7.5225 0.0000 2.5664 Cu
6.3300 0.0000 7.7923 Cu
5.4820 0.0000 12.5008 Cu
-0.6957 0.0000 2.5461 S
0.7501 0.0000 7.7206 S
-0.2255 0.0000 12.9728 S
5.0647 0.0000 5.7939 S
8.7101 0.0000 0.3004 S
5.2150 0.0000 10.0014 S
8.7019 0.0000 4.5957 S
8.9173 0.0000 10.7545 S
```

Most intense lines, 2θ = 10–90°, by angle:
| d [Å] | intensity |
| --- | --- |
| 3.985 | 42 |
| 3.427 | 100 |
| 3.032 | 75 |
| 2.979 | 37 |
| 2.891 | 76 |
| 2.688 | 72 |
| 2.448 | 39 |
| 2.263 | 36 |
| 2.150 | 36 |
| 1.954 | 45 |

***

[2]
Structure and theoretical PXRD pattern of Er3Cu3Sb4 (a GGA-PBE-relaxed structure; Cu Kα (weighted mean of Kα1 and Kα2)).
Peak positions follow from Bragg's law for the DFT cell and can differ from measured ones.

Atomic structure:
```
Er3Cu3Sb4
1.0
-4.7715 4.7715 4.7715
4.7715 -4.7715 4.7715
4.7715 4.7715 -4.7715
Er Cu Sb
6 6 8
Cartesian
4.7715 -2.3858 3.5786 Er
3.5786 4.7715 -2.3858 Er
4.7715 2.3858 1.1929 Er
2.3858 1.1929 4.7715 Er
1.1929 4.7715 2.3858 Er
-2.3858 3.5786 4.7715 Er
7.1573 1.1929 0.0000 Cu
3.5786 0.0000 2.3858 Cu
2.3858 3.5786 0.0000 Cu
0.0000 2.3858 3.5786 Cu
1.1929 0.0000 7.1573 Cu
0.0000 7.1573 1.1929 Cu
3.1482 1.6233 -1.6233 Sb
5.5340 -0.7625 0.7625 Sb
1.6233 -1.6233 3.1482 Sb
1.6233 1.6233 1.6233 Sb
-1.6233 3.1482 1.6233 Sb
0.7625 5.5340 -0.7625 Sb
-0.7625 0.7625 5.5340 Sb
4.0090 4.0090 4.0090 Sb
```

Most intense lines, 2θ = 10–90°, by angle:
| d [Å] | intensity |
| --- | --- |
| 3.018 | 56 |
| 2.550 | 100 |
| 2.134 | 37 |
| 2.035 | 12 |
| 1.948 | 16 |
| 1.872 | 10 |
| 1.548 | 19 |
| 1.509 | 13 |
| 1.473 | 10 |
| 1.299 | 15 |

***

[3]
Structure and theoretical PXRD pattern of ErCuSb2 (a GGA-PBE-relaxed structure; Cu Kα (weighted mean of Kα1 and Kα2)).
Peak positions follow from Bragg's law for the DFT cell and can differ from measured ones.

Atomic structure:
```
ErCuSb2
1.0
4.2918 0.0000 0.0000
0.0000 4.2918 0.0000
0.0000 0.0000 9.7805
Er Cu Sb
2 2 4
Cartesian
1.0730 1.0730 2.4481 Er
3.2189 3.2189 7.3324 Er
1.0730 3.2189 0.0000 Cu
3.2189 1.0730 0.0000 Cu
1.0730 1.0730 8.1816 Sb
1.0730 3.2189 4.8902 Sb
3.2189 1.0730 4.8902 Sb
3.2189 3.2189 1.5989 Sb
```

Most intense lines, 2θ = 10–90°, by angle:
| d [Å] | intensity |
| --- | --- |
| 3.226 | 13 |
| 2.898 | 10 |
| 2.596 | 18 |
| 2.579 | 100 |
| 2.146 | 39 |
| 1.780 | 15 |
| 1.613 | 11 |
| 1.517 | 13 |
| 1.370 | 12 |
| 1.308 | 23 |

***

[4]
Structure and theoretical PXRD pattern of ErCuSe2 (a GGA-PBE-relaxed structure; Cu Kα (weighted mean of Kα1 and Kα2)).
Peak positions follow from Bragg's law for the DFT cell and can differ from measured ones.

Atomic structure:
```
ErCuSe2
1.0
4.1181 0.0000 0.0000
-2.0590 3.5664 0.0000
0.0000 0.0000 6.2227
Er Cu Se
1 1 2
Cartesian
0.0000 0.0000 0.0000 Er
2.0590 1.1888 2.2648 Cu
0.0000 2.3776 1.7052 Se
2.0590 1.1888 4.7368 Se
```

Most intense lines, 2θ = 10–90°, by angle:
| d [Å] | intensity |
| --- | --- |
| 6.223 | 29 |
| 3.094 | 100 |
| 2.345 | 67 |
| 2.059 | 53 |
| 1.793 | 19 |
| 1.715 | 22 |
| 1.547 | 18 |
| 1.461 | 13 |
| 1.317 | 15 |
| 1.237 | 17 |

***

[5]
Structure and theoretical PXRD pattern of Er2CuSi3 (a GGA-PBE-relaxed structure; Cu Kα (weighted mean of Kα1 and Kα2)).
Peak positions follow from Bragg's law for the DFT cell and can differ from measured ones.

Atomic structure:
```
Er2CuSi3
1.0
-1.9674 2.0310 6.9304
1.9674 -2.0310 6.9304
1.9674 2.0310 -6.9304
Er Cu Si
2 1 3
Cartesian
0.0000 0.0000 0.0000 Er
0.0000 2.0310 3.5339 Er
0.0000 0.0000 8.1586 Cu
1.9674 0.0000 2.2834 Si
1.9674 0.0000 4.6024 Si
0.0000 0.0000 5.8996 Si
```

Most intense lines, 2θ = 10–90°, by angle:
| d [Å] | intensity |
| --- | --- |
| 3.898 | 21 |
| 3.465 | 20 |
| 3.051 | 17 |
| 2.996 | 32 |
| 2.617 | 100 |
| 2.290 | 25 |
| 2.266 | 19 |
| 2.031 | 17 |
| 1.967 | 15 |
| 1.492 | 13 |

***

[6]
Structure and theoretical PXRD pattern of Er3Cu11Si4 (a GGA-PBE-relaxed structure; Cu Kα (weighted mean of Kα1 and Kα2)).
Peak positions follow from Bragg's law for the DFT cell and can differ from measured ones.

Atomic structure:
```
Er3Cu11Si4
1.0
8.4049 0.0000 0.0000
-4.2024 7.2788 0.0000
0.0000 0.0000 8.5942
Er Cu Si
6 22 8
Cartesian
0.0000 2.8760 2.1486 Er
-1.7118 5.8408 2.1486 Er
2.4907 1.4380 6.4457 Er
1.7118 5.8408 2.1486 Er
5.9142 1.4380 6.4457 Er
4.2024 4.4028 6.4457 Er
-1.2821 4.1123 6.4457 Cu
0.0000 2.2293 5.0657 Cu
0.0000 2.2293 7.8256 Cu
-2.2718 6.1642 5.0657 Cu
-2.2718 6.1642 7.8256 Cu
1.9306 1.1146 0.7686 Cu
1.9306 1.1146 3.5285 Cu
0.0000 4.8526 4.3387 Cu
0.0000 4.8526 8.5527 Cu
1.2821 4.1123 6.4457 Cu
0.0000 6.3330 6.4457 Cu
4.2024 0.9459 2.1486 Cu
2.9203 3.1665 2.1486 Cu
4.2024 2.4263 0.0416 Cu
4.2024 2.4263 4.2555 Cu
2.2718 6.1642 5.0657 Cu
2.2718 6.1642 7.8256 Cu
6.4742 1.1146 0.7686 Cu
6.4742 1.1146 3.5285 Cu
4.2024 5.0495 0.7686 Cu
4.2024 5.0495 3.5285 Cu
5.4845 3.1665 2.1486 Cu
0.0000 0.0000 2.1486 Si
0.0000 0.0000 6.4457 Si
-2.1012 3.6394 0.0000 Si
-2.1012 3.6394 4.2971 Si
4.2024 0.0000 0.0000 Si
4.2024 0.0000 4.2971 Si
2.1012 3.6394 0.0000 Si
2.1012 3.6394 4.2971 Si
```

Most intense lines, 2θ = 10–90°, by angle:
| d [Å] | intensity |
| --- | --- |
| 4.297 | 18 |
| 3.639 | 27 |
| 3.351 | 24 |
| 2.335 | 71 |
| 2.317 | 51 |
| 2.251 | 100 |
| 2.101 | 60 |
| 1.984 | 20 |
| 1.402 | 17 |
| 1.379 | 18 |